Entry 1:
# SrTa2Mn
Computed XRD peak list, copper Kα. Input: the GGA-PBE geometry in the Materials Project.
Kinematic intensities with the Lorentz-polarization factor, no thermal factor.

Most intense lines, 2θ from 10° to 90°, low angle first:
| d_spacing | 2theta | intensity | (hkl) |
| --- | --- | --- | --- |
| 3.861 | 23.03 | 1 | 1 1 1 |
| 3.344 | 26.66 | 22 | 2 0 0 |
| 2.365 | 38.06 | 100 | 2 2 0 |
| 2.016 | 44.95 | 1 | 3 1 1 |
| 1.931 | 47.07 | 7 | 2 2 2 |
| 1.672 | 54.91 | 17 | 4 0 0 |
| 1.495 | 62.06 | 9 | 4 2 0 |
| 1.365 | 68.76 | 35 | 4 2 2 |
| 1.182 | 81.40 | 11 | 4 4 0 |
| 1.115 | 87.52 | 5 | 6 0 0 |

Crystal structure
```
data_SrTa2Mn
_cell_length_a 6.6879
_cell_length_b 6.6879
_cell_length_c 6.6879
_cell_angle_alpha 90.00
_cell_angle_beta 90.00
_cell_angle_gamma 90.00
_space_group_name_H-M_alt 'F m -3 m'
_space_group_IT_number 225
_space_group_name_Hall '-F 4 2 3'
loop_
_atom_site_label
_atom_site_fract_x
_atom_site_fract_y
_atom_site_fract_z
_atom_site_occupancy
Sr1 0.0000 0.0000 0.0000 1
Ta1 0.2500 0.2500 0.2500 1
Mn1 0.0000 0.0000 0.5000 1
```

---

Entry 2:
# Sr2UMn
Computed XRD peak list, copper Kα. Input: the GGA-PBE geometry in the Materials Project.
Kinematic intensities with the Lorentz-polarization factor, no thermal factor.

Most intense lines, 2θ from 10° to 90°, low angle first:
| d_spacing | 2theta | intensity | (hkl) |
| --- | --- | --- | --- |
| 4.718 | 18.81 | 29 | 1 1 1 |
| 4.086 | 21.75 | 6 | 2 0 0 |
| 2.889 | 30.95 | 100 | 2 2 0 |
| 2.464 | 36.47 | 18 | 3 1 1 |
| 2.043 | 44.34 | 19 | 4 0 0 |
| 1.875 | 48.57 | 8 | 3 3 1 |
| 1.668 | 55.06 | 39 | 4 2 2 |
| 1.573 | 58.71 | 7 | 5 1 1 |
| 1.444 | 64.51 | 12 | 4 4 0 |
| 1.381 | 67.86 | 7 | 5 3 1 |
| 1.292 | 73.27 | 17 | 6 2 0 |
| 1.092 | 89.82 | 21 | 6 4 2 |

Crystal structure
```
data_Sr2UMn
_cell_length_a 8.1712
_cell_length_b 8.1712
_cell_length_c 8.1712
_cell_angle_alpha 90.00
_cell_angle_beta 90.00
_cell_angle_gamma 90.00
_space_group_name_H-M_alt 'F m -3 m'
_space_group_IT_number 225
_space_group_name_Hall '-F 4 2 3'
loop_
_atom_site_label
_atom_site_fract_x
_atom_site_fract_y
_atom_site_fract_z
_atom_site_occupancy
Sr1 0.2500 0.2500 0.2500 1
U1 0.0000 0.0000 0.0000 1
Mn1 0.0000 0.0000 0.5000 1
```

---

Entry 3:
# Ta2MnV3
Computed XRD peak list, copper Kα. Input: the GGA-PBE geometry in the Materials Project.
Kinematic intensities with the Lorentz-polarization factor, no thermal factor.

Most intense lines, 2θ from 10° to 90°, low angle first:
| d_spacing | 2theta | intensity | (hkl) |
| --- | --- | --- | --- |
| 4.098 | 21.69 | 44 | 1 0 1 |
| 4.017 | 22.13 | 17 | 0 0 3 |
| 2.516 | 35.69 | 82 | 1 1 0 |
| 2.478 | 36.25 | 74 | 1 0 4 |
| 2.144 | 42.15 | 47 | 0 2 1 |
| 2.132 | 42.39 | 100 | 1 1 3 |
| 2.109 | 42.88 | 47 | 0 1 5 |
| 1.445 | 64.48 | 28 | 2 1 4 |
| 1.366 | 68.72 | 23 | 3 0 3 |
| 1.360 | 69.07 | 22 | 1 2 5 |
| 1.258 | 75.59 | 21 | 2 2 0 |
| 1.239 | 76.95 | 20 | 2 0 8 |

Crystal structure
```
data_Ta2MnV3
_cell_length_a 5.0319
_cell_length_b 5.0319
_cell_length_c 12.0513
_cell_angle_alpha 90.00
_cell_angle_beta 90.00
_cell_angle_gamma 120.00
_space_group_name_H-M_alt 'R -3 m'
_space_group_IT_number 166
_space_group_name_Hall '-R 3 2"'
loop_
_atom_site_label
_atom_site_fract_x
_atom_site_fract_y
_atom_site_fract_z
_atom_site_occupancy
Ta1 0.0000 0.0000 0.1253 1
Mn1 0.0000 0.0000 0.5000 1
V1 0.0000 0.5000 0.0000 1
```

---

Entry 4:
# TbMn3
Computed XRD peak list, copper Kα. Input: the GGA-PBE geometry in the Materials Project.
Kinematic intensities with the Lorentz-polarization factor, no thermal factor.

Most intense lines, 2θ from 10° to 90°, low angle first:
| d_spacing | 2theta | intensity | (hkl) |
| --- | --- | --- | --- |
| 3.423 | 26.03 | 41 | 1 0 1 |
| 2.976 | 30.03 | 17 | 1 1 0 |
| 2.577 | 34.82 | 25 | 2 0 0 |
| 2.290 | 39.35 | 25 | 0 0 2 |
| 2.246 | 40.15 | 100 | 2 0 1 |
| 1.815 | 50.28 | 8 | 1 1 2 |
| 1.712 | 53.54 | 14 | 2 0 2 |
| 1.488 | 62.42 | 16 | 2 2 0 |
| 1.364 | 68.80 | 8 | 3 1 1 |
| 1.313 | 71.89 | 17 | 2 0 3 |
| 1.248 | 76.33 | 17 | 2 2 2 |
| 1.240 | 76.86 | 12 | 4 0 1 |

Crystal structure
```
data_TbMn3
_cell_length_a 5.9511
_cell_length_b 5.9511
_cell_length_c 4.5796
_cell_angle_alpha 90.00
_cell_angle_beta 90.00
_cell_angle_gamma 120.00
_space_group_name_H-M_alt 'P 63/m m c'
_space_group_IT_number 194
_space_group_name_Hall '-P 6c 2c'
loop_
_atom_site_label
_atom_site_fract_x
_atom_site_fract_y
_atom_site_fract_z
_atom_site_occupancy
Tb1 0.3333 0.6667 0.2500 1
Mn1 0.1490 0.2981 0.7500 1
```

---

Entry 5:
# Tb6Mn23
Computed XRD peak list, copper Kα. Input: the GGA-PBE geometry in the Materials Project.
Kinematic intensities with the Lorentz-polarization factor, no thermal factor.

Most intense lines, 2θ from 10° to 90°, low angle first:
| d_spacing | 2theta | intensity | (hkl) |
| --- | --- | --- | --- |
| 3.481 | 25.59 | 30 | 2 2 2 |
| 3.015 | 29.63 | 22 | 4 0 0 |
| 2.766 | 32.36 | 31 | 3 3 1 |
| 2.461 | 36.50 | 35 | 4 2 2 |
| 2.321 | 38.80 | 100 | 3 3 3 |
| 2.132 | 42.40 | 97 | 4 4 0 |
| 2.010 | 45.11 | 19 | 6 0 0 |
| 1.689 | 54.33 | 20 | 5 5 1 |
| 1.473 | 63.11 | 24 | 7 3 3 |
| 1.421 | 65.70 | 28 | 8 2 2 |
| 1.212 | 79.00 | 17 | 9 3 3 |
| 1.166 | 82.80 | 18 | 7 7 3 |

Crystal structure
```
data_Tb6Mn23
_cell_length_a 12.0587
_cell_length_b 12.0587
_cell_length_c 12.0587
_cell_angle_alpha 90.00
_cell_angle_beta 90.00
_cell_angle_gamma 90.00
_space_group_name_H-M_alt 'F m -3 m'
_space_group_IT_number 225
_space_group_name_Hall '-F 4 2 3'
loop_
_atom_site_label
_atom_site_fract_x
_atom_site_fract_y
_atom_site_fract_z
_atom_site_occupancy
Tb1 0.0000 0.0000 0.2048 1
Mn1 0.0000 0.0000 0.5000 1
Mn2 0.0000 0.2500 0.2500 1
Mn3 0.1221 0.1221 0.3779 1
Mn4 0.1777 0.1777 0.1777 1
```

---

Entry 6:
# Tb4Mn
Computed XRD peak list, copper Kα. Input: the GGA-PBE geometry in the Materials Project.
Kinematic intensities with the Lorentz-polarization factor, no thermal factor.

Most intense lines, 2θ from 10° to 90°, low angle first:
| d_spacing | 2theta | intensity | (hkl) |
| --- | --- | --- | --- |
| 3.040 | 29.38 | 100 | 2 2 2 |
| 2.633 | 34.05 | 41 | 4 0 0 |
| 2.416 | 37.21 | 9 | 3 3 1 |
| 2.027 | 44.71 | 11 | 5 1 1 |
| 1.862 | 48.92 | 40 | 4 4 0 |
| 1.588 | 58.09 | 38 | 6 2 2 |
| 1.520 | 60.94 | 9 | 4 4 4 |
| 1.475 | 63.03 | 5 | 5 5 1 |
| 1.317 | 71.69 | 5 | 8 0 0 |
| 1.287 | 73.62 | 5 | 7 3 3 |
| 1.208 | 79.30 | 13 | 6 6 2 |
| 1.178 | 81.79 | 10 | 8 4 0 |

Crystal structure
Cell lengths 10.5323, 10.5323, 10.5323 Å; angles 90.00, 90.00, 90.00 degrees
Space group Fd-3m (No. 227, origin choice 2)
Asymmetric unit:
Tb (0.0110, 0.0110, 0.2390) (multiplicity 32)
Mn (0.1250, 0.1250, 0.6250) (multiplicity 8)

---

Entry 7:
# MnTe
Computed XRD peak list, copper Kα. Input: the GGA-PBE geometry in the Materials Project.
Kinematic intensities with the Lorentz-polarization factor, no thermal factor.

Most intense lines, 2θ from 10° to 90°, low angle first:
| d_spacing | 2theta | intensity | (hkl) |
| --- | --- | --- | --- |
| 3.331 | 26.76 | 27 | 1 1 1 |
| 2.885 | 31.00 | 100 | 2 0 0 |
| 2.040 | 44.41 | 72 | 2 2 0 |
| 1.740 | 52.61 | 13 | 3 1 1 |
| 1.666 | 55.14 | 25 | 2 2 2 |
| 1.442 | 64.61 | 11 | 4 0 0 |
| 1.324 | 71.24 | 6 | 3 3 1 |
| 1.290 | 73.38 | 31 | 4 2 0 |
| 1.178 | 81.77 | 23 | 4 2 2 |
| 1.110 | 87.94 | 5 | 5 1 1 |

Crystal structure
```
data_MnTe
_cell_length_a 5.7700
_cell_length_b 5.7700
_cell_length_c 5.7700
_cell_angle_alpha 90.00
_cell_angle_beta 90.00
_cell_angle_gamma 90.00
_space_group_name_H-M_alt 'F m -3 m'
_space_group_IT_number 225
_space_group_name_Hall '-F 4 2 3'
loop_
_atom_site_label
_atom_site_fract_x
_atom_site_fract_y
_atom_site_fract_z
_atom_site_occupancy
Mn1 0.0000 0.0000 0.0000 1
Te1 0.0000 0.0000 0.5000 1
```

---

Entry 8:
# MnTe
Computed XRD peak list, copper Kα. Input: the GGA-PBE geometry in the Materials Project.
Kinematic intensities with the Lorentz-polarization factor, no thermal factor.

Most intense lines, 2θ from 10° to 90°, low angle first:
| d_spacing | 2theta | intensity | (hkl) |
| --- | --- | --- | --- |
| 3.114 | 28.67 | 100 | 1 0 1 |
| 2.306 | 39.06 | 52 | 1 0 2 |
| 2.110 | 42.86 | 46 | 1 1 0 |
| 1.747 | 52.38 | 18 | 2 0 1 |
| 1.742 | 52.52 | 18 | 1 0 3 |
| 1.721 | 53.23 | 7 | 1 1 2 |
| 1.557 | 59.37 | 14 | 2 0 2 |
| 1.346 | 69.91 | 15 | 2 1 1 |
| 1.343 | 70.03 | 8 | 2 0 3 |
| 1.253 | 75.96 | 13 | 2 1 2 |
| 1.215 | 78.75 | 15 | 1 1 4 |
| 1.133 | 85.73 | 9 | 2 1 3 |

Crystal structure
```
data_MnTe
_cell_length_a 4.2200
_cell_length_b 4.2200
_cell_length_c 5.9461
_cell_angle_alpha 90.00
_cell_angle_beta 90.00
_cell_angle_gamma 120.00
_space_group_name_H-M_alt 'P 63/m m c'
_space_group_IT_number 194
_space_group_name_Hall '-P 6c 2c'
loop_
_atom_site_label
_atom_site_fract_x
_atom_site_fract_y
_atom_site_fract_z
_atom_site_occupancy
Mn1 0.0000 0.0000 0.0000 1
Te1 0.3333 0.6667 0.2500 1
```

---

Entry 9:
# Mn3Te
Computed XRD peak list, copper Kα. Input: the GGA-PBE geometry in the Materials Project.
Kinematic intensities with the Lorentz-polarization factor, no thermal factor.

Most intense lines, 2θ from 10° to 90°, low angle first:
| d_spacing | 2theta | intensity | (hkl) |
| --- | --- | --- | --- |
| 3.449 | 25.83 | 14 | 1 1 1 |
| 2.987 | 29.91 | 7 | 2 0 0 |
| 2.112 | 42.81 | 100 | 2 2 0 |
| 1.801 | 50.68 | 7 | 3 1 1 |
| 1.725 | 53.10 | 2 | 2 2 2 |
| 1.494 | 62.15 | 15 | 4 0 0 |
| 1.371 | 68.45 | 3 | 3 3 1 |
| 1.336 | 70.49 | 3 | 4 2 0 |
| 1.220 | 78.42 | 30 | 4 2 2 |
| 1.150 | 84.21 | 2 | 5 1 1 |

Crystal structure
```
data_Mn3Te
_cell_length_a 5.9743
_cell_length_b 5.9743
_cell_length_c 5.9743
_cell_angle_alpha 90.00
_cell_angle_beta 90.00
_cell_angle_gamma 90.00
_space_group_name_H-M_alt 'F m -3 m'
_space_group_IT_number 225
_space_group_name_Hall '-F 4 2 3'
loop_
_atom_site_label
_atom_site_fract_x
_atom_site_fract_y
_atom_site_fract_z
_atom_site_occupancy
Mn1 0.0000 0.0000 0.0000 1
Mn2 0.2500 0.2500 0.2500 1
Te1 0.0000 0.0000 0.5000 1
```

---

Entry 10:
# MnTe
Computed XRD peak list, copper Kα. Input: the GGA-PBE geometry in the Materials Project.
Kinematic intensities with the Lorentz-polarization factor, no thermal factor.

Most intense lines, 2θ from 10° to 90°, low angle first:
| d_spacing | 2theta | intensity | (hkl) |
| --- | --- | --- | --- |
| 3.448 | 25.84 | 33 | 0 0 2 |
| 3.409 | 26.14 | 50 | 0 1 1 |
| 3.301 | 27.01 | 17 | 2 0 1 |
| 3.105 | 28.76 | 21 | 1 1 1 |
| 2.714 | 33.00 | 19 | 2 1 0 |
| 2.541 | 35.32 | 43 | 2 0 2 |
| 2.525 | 35.55 | 100 | 2 1 1 |
| 1.983 | 45.76 | 41 | 0 1 3 |
| 1.961 | 46.31 | 27 | 0 2 0 |
| 1.814 | 50.30 | 15 | 4 0 1 |
| 1.552 | 59.56 | 18 | 2 2 2 |
| 1.521 | 60.89 | 15 | 4 1 2 |

Crystal structure
```
data_MnTe
_cell_length_a 7.5210
_cell_length_b 3.9210
_cell_length_c 6.8956
_cell_angle_alpha 90.00
_cell_angle_beta 90.00
_cell_angle_gamma 90.00
_space_group_name_H-M_alt 'P n m a'
_space_group_IT_number 62
loop_
_space_group_symop_operation_xyz
'x,y,z'
'-x,-y,-z'
'-x+1/2,-y,z+1/2'
'x+1/2,y,-z+1/2'
'x+1/2,-y+1/2,-z+1/2'
'-x+1/2,y+1/2,z+1/2'
'-x,y+1/2,-z'
'x,-y+1/2,z'
loop_
_atom_site_label
_atom_site_fract_x
_atom_site_fract_y
_atom_site_fract_z
_atom_site_occupancy
Mn1 0.2309 0.2500 0.0954 1
Te1 0.0428 0.2500 0.7510 1
```

---

Entry 11:
# MnTe
Computed XRD peak list, copper Kα. Input: the GGA-PBE geometry in the Materials Project.
Kinematic intensities with the Lorentz-polarization factor, no thermal factor.

Most intense lines, 2θ from 10° to 90°, low angle first:
| d_spacing | 2theta | intensity | (hkl) |
| --- | --- | --- | --- |
| 3.586 | 24.83 | 20 | 1 1 0 |
| 3.407 | 26.16 | 91 | 1 1 -1 |
| 3.398 | 26.23 | 37 | 2 0 0 |
| 2.977 | 30.01 | 71 | 1 1 1 |
| 2.892 | 30.92 | 31 | 2 0 -2 |
| 2.111 | 42.83 | 30 | 0 2 0 |
| 2.099 | 43.09 | 25 | 2 0 2 |
| 2.075 | 43.63 | 100 | 3 1 -1 |
| 1.793 | 50.92 | 21 | 2 2 0 |
| 1.788 | 51.09 | 23 | 3 1 1 |
| 1.753 | 52.17 | 16 | 4 0 -2 |
| 1.212 | 79.02 | 16 | 3 3 -1 |

Crystal structure
```
data_MnTe
_cell_length_a 7.1473
_cell_length_b 4.2224
_cell_length_c 7.1485
_cell_angle_alpha 90.00
_cell_angle_beta 108.05
_cell_angle_gamma 90.00
_space_group_name_H-M_alt 'P 1 21/m 1'
_space_group_IT_number 11
loop_
_space_group_symop_operation_xyz
'x,y,z'
'-x,-y,-z'
'-x,y+1/2,-z'
'x,-y+1/2,z'
loop_
_atom_site_label
_atom_site_fract_x
_atom_site_fract_y
_atom_site_fract_z
_atom_site_occupancy
Mn1 0.1166 0.2500 0.1180 1
Mn2 0.2985 0.2500 0.5248 1
Te1 0.0035 0.2500 0.7195 1
Te2 0.4977 0.7500 0.7492 1
```

---

Entry 12:
# MnTe
Computed XRD peak list, copper Kα. Input: the GGA-PBE geometry in the Materials Project.
Kinematic intensities with the Lorentz-polarization factor, no thermal factor.

Most intense lines, 2θ from 10° to 90°, low angle first:
| d_spacing | 2theta | intensity | (hkl) |
| --- | --- | --- | --- |
| 5.555 | 15.95 | 34 | 0 1 1 |
| 5.475 | 16.19 | 22 | 0 2 0 |
| 3.223 | 27.68 | 14 | 0 0 2 |
| 3.176 | 28.10 | 35 | 0 3 1 |
| 2.976 | 30.03 | 74 | 2 0 0 |
| 2.741 | 32.67 | 100 | 0 4 0 |
| 2.239 | 40.29 | 70 | 1 3 2 |
| 2.172 | 41.59 | 25 | 2 3 1 |
| 2.021 | 44.84 | 13 | 1 0 3 |
| 2.015 | 45.00 | 33 | 2 4 0 |
| 1.533 | 60.37 | 21 | 3 3 2 |
| 1.369 | 68.52 | 15 | 1 7 2 |

Crystal structure
```
data_MnTe
_cell_length_a 5.9514
_cell_length_b 10.9491
_cell_length_c 6.4465
_cell_angle_alpha 90.00
_cell_angle_beta 90.00
_cell_angle_gamma 90.00
_space_group_name_H-M_alt 'I m m a'
_space_group_IT_number 74
_space_group_name_Hall '-I 2b 2'
loop_
_atom_site_label
_atom_site_fract_x
_atom_site_fract_y
_atom_site_fract_z
_atom_site_occupancy
Mn1 0.0000 0.1186 0.1071 1
Te1 0.0000 0.0974 0.6832 1
```

---

Entry 13:
# MnTe
Computed XRD peak list, copper Kα. Input: the GGA-PBE geometry in the Materials Project.
Kinematic intensities with the Lorentz-polarization factor, no thermal factor.

Most intense lines, 2θ from 10° to 90°, low angle first:
| d_spacing | 2theta | intensity | (hkl) |
| --- | --- | --- | --- |
| 3.098 | 28.82 | 100 | 1 1 1 |
| 3.086 | 28.93 | 50 | 1 0 2 |
| 2.931 | 30.49 | 8 | 2 0 0 |
| 2.284 | 39.46 | 77 | 2 1 1 |
| 2.111 | 42.84 | 24 | 0 2 0 |
| 2.099 | 43.09 | 46 | 0 1 3 |
| 1.742 | 52.52 | 19 | 1 2 2 |
| 1.734 | 52.80 | 9 | 1 0 4 |
| 1.722 | 53.19 | 27 | 3 0 2 |
| 1.549 | 59.69 | 14 | 2 2 2 |
| 1.345 | 69.97 | 8 | 1 3 1 |
| 1.202 | 79.80 | 14 | 4 1 3 |

Crystal structure
```
data_MnTe
_cell_length_a 5.8630
_cell_length_b 4.2215
_cell_length_c 7.2600
_cell_angle_alpha 90.00
_cell_angle_beta 90.00
_cell_angle_gamma 90.00
_space_group_name_H-M_alt 'P n m a'
_space_group_IT_number 62
loop_
_space_group_symop_operation_xyz
'x,y,z'
'-x,-y,-z'
'-x+1/2,-y,z+1/2'
'x+1/2,y,-z+1/2'
'x+1/2,-y+1/2,-z+1/2'
'-x+1/2,y+1/2,z+1/2'
'-x,y+1/2,-z'
'x,-y+1/2,z'
loop_
_atom_site_label
_atom_site_fract_x
_atom_site_fract_y
_atom_site_fract_z
_atom_site_occupancy
Mn1 0.0024 0.2500 0.2450 1
Te1 0.2454 0.7500 0.4162 1
```

---

Entry 14:
# Mn3Te
Computed XRD peak list, copper Kα. Input: the GGA-PBE geometry in the Materials Project.
Kinematic intensities with the Lorentz-polarization factor, no thermal factor.

Most intense lines, 2θ from 10° to 90°, low angle first:
| d_spacing | 2theta | intensity | (hkl) |
| --- | --- | --- | --- |
| 3.201 | 27.87 | 26 | 1 0 1 |
| 2.719 | 32.95 | 9 | 1 1 0 |
| 2.354 | 38.23 | 25 | 2 0 0 |
| 2.183 | 41.36 | 27 | 0 0 2 |
| 2.072 | 43.68 | 100 | 2 0 1 |
| 1.780 | 51.34 | 5 | 2 1 0 |
| 1.702 | 53.86 | 5 | 1 1 2 |
| 1.601 | 57.58 | 14 | 2 0 2 |
| 1.359 | 69.10 | 15 | 2 2 0 |
| 1.238 | 77.04 | 17 | 2 0 3 |
| 1.154 | 83.84 | 17 | 2 2 2 |
| 1.137 | 85.42 | 11 | 4 0 1 |

Crystal structure
```
data_Mn3Te
_cell_length_a 5.4371
_cell_length_b 5.4371
_cell_length_c 4.3658
_cell_angle_alpha 90.00
_cell_angle_beta 90.00
_cell_angle_gamma 120.00
_space_group_name_H-M_alt 'P 63/m m c'
_space_group_IT_number 194
_space_group_name_Hall '-P 6c 2c'
loop_
_atom_site_label
_atom_site_fract_x
_atom_site_fract_y
_atom_site_fract_z
_atom_site_occupancy
Mn1 0.1522 0.3043 0.2500 1
Te1 0.3333 0.6667 0.7500 1
```

---

Entry 15:
# MnTe
Computed XRD peak list, copper Kα. Input: the GGA-PBE geometry in the Materials Project.
Kinematic intensities with the Lorentz-polarization factor, no thermal factor.

Most intense lines, 2θ from 10° to 90°, low angle first:
| d_spacing | 2theta | intensity | (hkl) |
| --- | --- | --- | --- |
| 3.692 | 24.10 | 100 | 1 1 1 |
| 3.198 | 27.90 | 12 | 2 0 0 |
| 2.261 | 39.87 | 68 | 2 2 0 |
| 1.928 | 47.13 | 48 | 3 1 1 |
| 1.846 | 49.36 | 4 | 2 2 2 |
| 1.599 | 57.65 | 11 | 4 0 0 |
| 1.467 | 63.40 | 19 | 3 3 1 |
| 1.430 | 65.24 | 5 | 4 2 0 |
| 1.305 | 72.39 | 22 | 4 2 2 |
| 1.231 | 77.56 | 14 | 5 1 1 |
| 1.131 | 85.98 | 7 | 4 4 0 |

Crystal structure
```
data_MnTe
_cell_length_a 6.3954
_cell_length_b 6.3954
_cell_length_c 6.3954
_cell_angle_alpha 90.00
_cell_angle_beta 90.00
_cell_angle_gamma 90.00
_space_group_name_H-M_alt 'F -4 3 m'
_space_group_IT_number 216
_space_group_name_Hall 'F -4 2 3'
loop_
_atom_site_label
_atom_site_fract_x
_atom_site_fract_y
_atom_site_fract_z
_atom_site_occupancy
Mn1 0.0000 0.0000 0.0000 1
Te1 0.2500 0.2500 0.7500 1
```